# Na2LaTaSi2SO12
Theoretical powder X-ray diffraction pattern, Cu Kα (weighted mean of Kα1 and Kα2). Input: a DFT-relaxed cell (GGA-PBE, the Materials Project).

a b c (Å): 9.3423 9.3423 9.2673
angles (deg): 118.80 118.80 61.41
Element x y z (fractional)
Na  0.0532  0.9468  0.5000
Na  0.3361  0.8552  0.2515
Na  0.8552  0.3361  0.7515
Na  0.9468  0.0532  0.0000
La  0.1786  0.6707  0.8134
La  0.6707  0.1786  0.3134
Ta  0.4743  0.9713  0.6955
Ta  0.9713  0.4743  0.1955
Si  0.1003  0.2641  0.5027
Si  0.2641  0.1003  0.0027
Si  0.7802  0.8606  0.5132
Si  0.8606  0.7802  0.0132
S  0.3608  0.6036  0.4978
S  0.6036  0.3608  0.9978
O  0.0362  0.7454  0.9906
O  0.0501  0.3194  0.3262
O  0.0909  0.2828  0.0250
O  0.1429  0.4192  0.6736
O  0.2011  0.5681  0.3493
O  0.2218  0.9470  0.9934
O  0.2828  0.0909  0.5250
O  0.3194  0.0501  0.8262
O  0.3536  0.6316  0.6634
O  0.3552  0.7741  0.5052
O  0.4192  0.1429  0.1736
O  0.4740  0.5215  0.9735
O  0.5215  0.4740  0.4735
O  0.5681  0.2011  0.8493
O  0.6050  0.8743  0.5338
O  0.6316  0.3536  0.1634
O  0.6756  0.8427  0.8478
O  0.7454  0.0362  0.4906
O  0.7741  0.3552  0.0052
O  0.8427  0.6756  0.3478
O  0.8549  0.9416  0.1883
O  0.8743  0.6050  0.0338
O  0.9416  0.8549  0.6883
O  0.9470  0.2218  0.4934

Largest 10 diffraction maxima, sorted by position, 10° ≤ 2θ ≤ 80°:
2θ 13.32, intensity 49.9; 2θ 18.60, intensity 49.2; 2θ 18.74, intensity 77.2; 2θ 19.01, intensity 100.0; 2θ 19.16, intensity 53.6; 2θ 26.82, intensity 65.3; 2θ 29.87, intensity 81.8; 2θ 30.42, intensity 33.2; 2θ 32.77, intensity 64.6; 2θ 33.51, intensity 37.4